Diffraction record for Pr3DyEr12. The X-ray diffraction stick pattern is theoretical, not measured: it uses a cell relaxed with PBE and Cu Kα.
Kinematic intensities with the Lorentz-polarization factor, no thermal factor.

Peak list (5 most intense, 2θ from 5° to 70°, sorted by position)
30.9 deg, d 2.897, rel. 100, hkl 1 1 4
35.8 deg, d 2.509, rel. 51, hkl 2 0 0
51.5 deg, d 1.774, rel. 36, hkl 2 2 0
61.3 deg, d 1.513, rel. 43, hkl 3 1 4
64.3 deg, d 1.448, rel. 12, hkl 2 2 8

Structure:
Unit cell a=5.016 b=5.016 c=20.075 alpha=90.00 beta=90.00 gamma=90.00
Space group P4/mmm (No. 123)
One atom of each set of equivalent atoms:
Pr1 0.000 0.000 0.000
Pr2 0.000 0.000 0.251
Dy1 0.000 0.000 0.500
Er1 0.000 0.500 0.126
Er2 0.000 0.500 0.377
Er3 0.500 0.500 0.000
Er4 0.500 0.500 0.252
Er5 0.500 0.500 0.500

---

Diffraction record for Tb4Sm2HoSc. The X-ray diffraction stick pattern is theoretical, not measured: it uses a cell relaxed with PBE and Cu Kα.
Kinematic intensities with the Lorentz-polarization factor, no thermal factor.

Peak list (10 most intense, 2θ from 5° to 70°, sorted by position)
8.9 deg, d 9.974, rel. 3, hkl 0 0 1
17.7 deg, d 5.000, rel. 3, hkl 0 0 2
31.0 deg, d 2.887, rel. 100, hkl 1 1 2
35.9 deg, d 2.503, rel. 34, hkl 2 0 0
36.0 deg, d 2.494, rel. 17, hkl 0 0 4
51.6 deg, d 1.770, rel. 12, hkl 2 2 0
51.7 deg, d 1.767, rel. 24, hkl 2 0 4
61.5 deg, d 1.509, rel. 28, hkl 3 1 2
61.6 deg, d 1.505, rel. 14, hkl 1 1 6
64.6 deg, d 1.443, rel. 12, hkl 2 2 4

Structure:
Unit cell a=5.006 b=5.006 c=9.974 alpha=90.00 beta=90.00 gamma=90.00
Space group P4/mmm (No. 123)
One atom of each set of equivalent atoms:
Tb1 0.000 0.500 0.245
Sm1 0.000 0.000 0.000
Sm2 0.500 0.500 0.500
Ho1 0.000 0.000 0.500
Sc1 0.500 0.500 0.000

---

Diffraction record for Zr2CdIn3. The X-ray diffraction stick pattern is theoretical, not measured: it uses a cell relaxed with PBE and Cu Kα.
Kinematic intensities with the Lorentz-polarization factor, no thermal factor.

Peak list (10 most intense, 2θ from 5° to 70°, sorted by position)
23.6 deg, d 3.775, rel. 1, hkl 0 2 1
34.9 deg, d 2.574, rel. 100, hkl 1 3 1
39.2 deg, d 2.295, rel. 17, hkl 0 6 0
40.0 deg, d 2.257, rel. 17, hkl 0 0 2
42.1 deg, d 2.145, rel. 15, hkl 2 0 0
57.2 deg, d 1.609, rel. 12, hkl 0 6 2
58.9 deg, d 1.567, rel. 10, hkl 2 6 0
59.5 deg, d 1.555, rel. 10, hkl 2 0 2
68.3 deg, d 1.373, rel. 12, hkl 1 9 1
69.3 deg, d 1.356, rel. 13, hkl 1 3 3

Structure:
Unit cell a=4.289 b=13.772 c=4.513 alpha=90.00 beta=90.00 gamma=90.00
Space group Cmmm (No. 65)
One atom of each set of equivalent atoms:
Zr1 0.000 0.160 0.000
Cd1 0.000 0.000 0.500
In1 0.000 0.327 0.500
In2 0.000 0.500 0.000

---

Diffraction record for K2ScUSe6. The X-ray diffraction stick pattern is theoretical, not measured: it uses a cell relaxed with PBE and Cu Kα.
Kinematic intensities with the Lorentz-polarization factor, no thermal factor.

Peak list (10 most intense, 2θ from 5° to 70°, sorted by position)
14.4 deg, d 6.156, rel. 45, hkl 1 1 0
16.6 deg, d 5.331, rel. 97, hkl 1 0 1
23.6 deg, d 3.770, rel. 27, hkl 2 0 0
27.8 deg, d 3.215, rel. 31, hkl 2 1 1
29.0 deg, d 3.078, rel. 24, hkl 2 2 0
33.6 deg, d 2.665, rel. 100, hkl 2 0 2
37.7 deg, d 2.384, rel. 52, hkl 3 0 1
48.3 deg, d 1.885, rel. 71, hkl 4 0 0
51.4 deg, d 1.777, rel. 27, hkl 4 2 0
60.1 deg, d 1.539, rel. 24, hkl 4 4 0

Structure:
Unit cell a=7.541 b=10.665 c=7.535 alpha=90.00 beta=90.00 gamma=90.00
Space group Pmmn (No. 59, origin choice 2)
One atom of each set of equivalent atoms:
K1 0.250 0.000 0.250
Sc1 0.250 0.250 0.749
U1 0.250 0.750 0.751
Se1 0.000 0.250 0.998
Se2 0.001 0.250 0.499
Se3 0.250 0.000 0.750

---

Diffraction record for SmY4Sc2. The X-ray diffraction stick pattern is theoretical, not measured: it uses a cell relaxed with PBE and Cu Kα.
Kinematic intensities with the Lorentz-polarization factor, no thermal factor.

Peak list (10 most intense, 2θ from 5° to 70°, sorted by position)
30.5 deg, d 2.932, rel. 16, hkl 0 2 2
31.1 deg, d 2.877, rel. 58, hkl 1 2 0
32.0 deg, d 2.795, rel. 100, hkl 1 0 3
32.8 deg, d 2.733, rel. 48, hkl 2 0 -1
33.1 deg, d 2.709, rel. 32, hkl 1 2 1
35.3 deg, d 2.541, rel. 25, hkl 0 2 3
48.9 deg, d 1.861, rel. 20, hkl 2 2 2
53.6 deg, d 1.709, rel. 21, hkl 0 4 0
58.0 deg, d 1.590, rel. 18, hkl 3 0 2
63.8 deg, d 1.459, rel. 26, hkl 1 4 3

Structure:
Unit cell a=5.466 b=6.843 c=11.705 alpha=90.00 beta=103.49 gamma=90.00
Space group P2_1/m (No. 11)
One atom of each set of equivalent atoms:
Sm1 0.073 0.250 0.145
Y1 0.075 0.750 0.151
Y2 0.215 0.250 0.432
Y3 0.354 0.001 0.708
Sc1 0.215 0.750 0.428
Sc2 0.499 0.750 0.999

---

Diffraction record for TmIr6. The X-ray diffraction stick pattern is theoretical, not measured: it uses a cell relaxed with PBE and Cu Kα.
Kinematic intensities with the Lorentz-polarization factor, no thermal factor.

Peak list (10 most intense, 2θ from 5° to 70°, sorted by position)
18.4 deg, d 4.810, rel. 29, hkl 1 1 0
26.2 deg, d 3.401, rel. 42, hkl 2 0 0
32.2 deg, d 2.777, rel. 100, hkl 2 1 1
37.4 deg, d 2.405, rel. 5, hkl 2 2 0
42.0 deg, d 2.151, rel. 7, hkl 3 1 0
46.2 deg, d 1.964, rel. 39, hkl 2 2 2
50.2 deg, d 1.818, rel. 59, hkl 3 2 1
53.9 deg, d 1.701, rel. 34, hkl 4 0 0
60.9 deg, d 1.521, rel. 17, hkl 4 2 0
64.2 deg, d 1.450, rel. 14, hkl 3 3 2

Structure:
Unit cell a=6.802 b=6.802 c=6.802 alpha=90.00 beta=90.00 gamma=90.00
Space group Im-3m (No. 229)
One atom of each set of equivalent atoms:
Tm1 0.000 0.000 0.000
Ir1 0.000 0.250 0.500

---

Diffraction record for KPaAuO6. The X-ray diffraction stick pattern is theoretical, not measured: it uses a cell relaxed with PBE and Cu Kα.
Kinematic intensities with the Lorentz-polarization factor, no thermal factor.

Peak list (10 most intense, 2θ from 5° to 70°, sorted by position)
18.2 deg, d 4.872, rel. 30, hkl 1 0 0
25.9 deg, d 3.440, rel. 100, hkl 1 0 1
31.8 deg, d 2.813, rel. 38, hkl 1 1 0
41.5 deg, d 2.177, rel. 35, hkl 2 0 1
49.6 deg, d 1.839, rel. 36, hkl 2 -1 2
53.2 deg, d 1.721, rel. 34, hkl 3 -1 1
56.7 deg, d 1.624, rel. 11, hkl 3 0 0
60.2 deg, d 1.536, rel. 10, hkl 1 0 3
69.6 deg, d 1.350, rel. 10, hkl 3 0 2
69.7 deg, d 1.348, rel. 7, hkl 2 0 3

Structure:
Unit cell a=5.6253 b=5.6253 c=4.8571 alpha=90.00 beta=90.00 gamma=120.00
Space group P312 (No. 149)
One atom of each set of equivalent atoms:
K1 0.0000 0.0000 0.0000
Pa1 0.6667 0.3333 0.5000
Au1 0.3333 0.6667 0.0000
O1 0.0134 0.4021 0.2485

---

Diffraction record for PaNiPt3. The X-ray diffraction stick pattern is theoretical, not measured: it uses a cell relaxed with PBE and Cu Kα.
Kinematic intensities with the Lorentz-polarization factor, no thermal factor.

Peak list (10 most intense, 2θ from 5° to 70°, sorted by position)
24.6 deg, d 3.624, rel. 35, hkl 0 0 3
25.1 deg, d 3.546, rel. 24, hkl 0 1 2
38.3 deg, d 2.350, rel. 37, hkl 1 0 4
39.4 deg, d 2.287, rel. 100, hkl 0 2 1
41.7 deg, d 2.166, rel. 37, hkl 1 1 3
42.0 deg, d 2.149, rel. 53, hkl 2 0 2
46.0 deg, d 1.972, rel. 21, hkl 0 1 5
62.7 deg, d 1.482, rel. 18, hkl 2 1 4
68.4 deg, d 1.372, rel. 13, hkl 1 2 5
69.6 deg, d 1.351, rel. 22, hkl 2 2 0

Structure:
Unit cell a=5.4033 b=5.4033 c=10.8709 alpha=90.00 beta=90.00 gamma=120.00
Space group R3m (No. 160, hexagonal axes)
One atom of each set of equivalent atoms:
Pa1 0.0000 0.0000 0.0000
Ni1 0.0000 0.0000 0.7685
Pt1 0.1683 0.3366 0.2228

---

Diffraction record for SrLaGaCuO5. The X-ray diffraction stick pattern is theoretical, not measured: it uses a cell relaxed with PBE and Cu Kα.
Kinematic intensities with the Lorentz-polarization factor, no thermal factor.

Peak list (10 most intense, 2θ from 5° to 70°, sorted by position)
10.7 deg, d 8.303, rel. 11, hkl 0 2 0
22.5 deg, d 3.945, rel. 10, hkl 1 3 0
31.5 deg, d 2.837, rel. 100, hkl 0 4 1
31.8 deg, d 2.811, rel. 29, hkl 2 0 0
33.3 deg, d 2.688, rel. 31, hkl 2 0 -2
40.0 deg, d 2.255, rel. 23, hkl 2 6 -1
43.6 deg, d 2.076, rel. 12, hkl 0 8 0
46.7 deg, d 1.947, rel. 13, hkl 0 0 2
46.9 deg, d 1.939, rel. 13, hkl 4 0 -2
58.4 deg, d 1.581, rel. 10, hkl 2 4 -3

Structure:
Unit cell a=7.763 b=16.607 c=5.376 alpha=90.00 beta=133.59 gamma=90.00
Space group Cm (No. 8)
One atom of each set of equivalent atoms:
Sr1 0.000 0.139 0.000
La1 0.041 0.353 0.045
Ga1 0.076 0.000 0.610
Ga2 0.444 0.000 0.469
Cu1 0.021 0.250 0.520
O1 0.067 0.400 0.516
O2 0.135 0.000 0.017
O3 0.268 0.245 0.019
O4 0.273 0.243 0.524
O5 0.389 0.000 0.773
O6 0.437 0.402 0.402

---

Diffraction record for KTl4Au5. The X-ray diffraction stick pattern is theoretical, not measured: it uses a cell relaxed with PBE and Cu Kα.
Kinematic intensities with the Lorentz-polarization factor, no thermal factor.

Peak list (10 most intense, 2θ from 5° to 70°, sorted by position)
13.4 deg, d 6.612, rel. 54, hkl 1 1 0
27.5 deg, d 3.248, rel. 39, hkl 0 3 1
29.9 deg, d 2.990, rel. 24, hkl 0 4 0
31.4 deg, d 2.847, rel. 100, hkl 2 2 1
35.4 deg, d 2.538, rel. 38, hkl 0 2 2
37.2 deg, d 2.417, rel. 33, hkl 1 2 2
37.6 deg, d 2.392, rel. 42, hkl 3 0 1
39.3 deg, d 2.292, rel. 31, hkl 0 3 2
40.6 deg, d 2.221, rel. 26, hkl 3 2 1
41.0 deg, d 2.203, rel. 22, hkl 3 3 0

Structure:
Unit cell a=7.935 b=11.958 c=5.605 alpha=90.00 beta=90.00 gamma=90.00
Space group Pmmn (No. 59, origin choice 2)
One atom of each set of equivalent atoms:
K1 0.250 0.250 0.007
Tl1 0.019 0.750 0.512
Tl2 0.250 0.513 0.654
Au1 0.073 0.568 0.173
Au2 0.250 0.750 0.931

---

Diffraction record for Mg7In2Pb2. The X-ray diffraction stick pattern is theoretical, not measured: it uses a cell relaxed with PBE and Cu Kα.
Kinematic intensities with the Lorentz-polarization factor, no thermal factor.

Peak list (10 most intense, 2θ from 5° to 70°, sorted by position)
10.5 deg, d 8.459, rel. 55, hkl 0 0 1
15.9 deg, d 5.590, rel. 61, hkl 1 1 0
22.5 deg, d 3.957, rel. 79, hkl 0 2 1
24.9 deg, d 3.580, rel. 71, hkl 2 0 -1
29.1 deg, d 3.073, rel. 36, hkl 0 2 2
31.7 deg, d 2.820, rel. 39, hkl 0 0 3
35.1 deg, d 2.558, rel. 64, hkl 1 3 1
35.4 deg, d 2.533, rel. 100, hkl 2 2 -2
36.2 deg, d 2.484, rel. 47, hkl 2 0 2
37.5 deg, d 2.400, rel. 39, hkl 1 3 -2

Structure:
Unit cell a=7.326 b=8.953 c=8.659 alpha=90.00 beta=102.34 gamma=90.00
Space group C2/m (No. 12)
One atom of each set of equivalent atoms:
Mg1 0.000 0.000 0.000
Mg2 0.118 0.000 0.367
Mg3 0.237 0.310 0.182
In1 0.105 0.500 0.857
Pb1 0.000 0.302 0.500

---

Diffraction record for Cu2PbCl. The X-ray diffraction stick pattern is theoretical, not measured: it uses a cell relaxed with PBE and Cu Kα.
Kinematic intensities with the Lorentz-polarization factor, no thermal factor.

Peak list (10 most intense, 2θ from 5° to 70°, sorted by position)
12.2 deg, d 7.247, rel. 100, hkl 0 0 1
24.6 deg, d 3.624, rel. 25, hkl 0 0 2
27.4 deg, d 3.256, rel. 23, hkl 1 0 0
29.2 deg, d 3.063, rel. 41, hkl 0 1 1
32.3 deg, d 2.770, rel. 30, hkl 1 0 1
33.1 deg, d 2.706, rel. 31, hkl 1 0 -2
36.3 deg, d 2.472, rel. 67, hkl 0 1 2
38.4 deg, d 2.345, rel. 59, hkl 1 1 0
38.6 deg, d 2.332, rel. 52, hkl 1 1 -1
46.2 deg, d 1.965, rel. 26, hkl 0 1 3

Structure:
Unit cell a=3.323 b=3.380 c=7.397 alpha=90.00 beta=101.54 gamma=90.00
Space group Pm (No. 6)
One atom of each set of equivalent atoms:
Cu1 0.000 0.000 0.000
Cu2 0.436 0.500 0.858
Pb1 0.619 0.500 0.253
Cl1 0.306 0.000 0.639

---

Diffraction record for La5Au6. The X-ray diffraction stick pattern is theoretical, not measured: it uses a cell relaxed with PBE and Cu Kα.
Kinematic intensities with the Lorentz-polarization factor, no thermal factor.

Peak list (10 most intense, 2θ from 5° to 70°, sorted by position)
12.9 deg, d 6.881, rel. 9, hkl 0 1 1
23.9 deg, d 3.717, rel. 10, hkl 1 0 3
30.7 deg, d 2.913, rel. 9, hkl 0 1 5
33.6 deg, d 2.666, rel. 100, hkl 1 2 3
34.1 deg, d 2.629, rel. 50, hkl 2 0 0
41.0 deg, d 2.204, rel. 12, hkl 1 3 2
49.0 deg, d 1.859, rel. 16, hkl 2 0 6
59.8 deg, d 1.547, rel. 13, hkl 2 4 0
60.7 deg, d 1.526, rel. 18, hkl 3 2 3
60.8 deg, d 1.523, rel. 12, hkl 1 2 9

Structure:
Unit cell a=5.263 b=7.650 c=15.751 alpha=90.00 beta=90.00 gamma=90.00
Space group Immm (No. 71)
One atom of each set of equivalent atoms:
La1 0.000 0.000 0.000
La2 0.000 0.000 0.360
La3 0.000 0.500 0.325
Au1 0.000 0.224 0.181
Au2 0.000 0.288 0.500